Record 1
This entry pairs a crystal structure of EuAl2Si2 with its computed powder X-ray diffraction pattern. Radiation: CuKα. Structure: a cell relaxed with PBE.
Intensities are scaled so that the largest is 100.

Structure:
```
EuAl2Si2
1.0
4.201 0.000 0.000
-2.101 3.638 0.000
0.000 0.000 7.059
Eu Al Si
1 2 2
direct
0.000 0.000 0.000 Eu
0.333 0.667 0.633 Al
0.667 0.333 0.367 Al
0.333 0.667 0.267 Si
0.667 0.333 0.733 Si
```

Top 10 peaks for 2θ = 10–90°, sorted by position:
d/Å  I (rel.)  hkl
7.059  36.9  0 0 1
3.638  19.5  1 0 0
3.234  100.0  0 1 1
2.533  59.4  0 1 2
2.101  33.9  1 1 0
1.976  16.8  1 0 3
1.762  19.4  2 0 1
1.617  14.9  2 0 2
1.567  17.5  1 1 3
1.350  19.8  1 2 1


Record 2
This entry pairs a crystal structure of SnF2 with its computed powder X-ray diffraction pattern. Radiation: CuKα. Structure: a cell relaxed with PBE.
Intensities are scaled so that the largest is 100.

Structure:
```
SnF2
1.0
5.147 0.000 0.000
0.000 5.302 0.000
0.000 0.000 8.489
Sn F
4 8
direct
0.246 0.003 0.377 Sn
0.254 0.997 0.877 Sn
0.746 0.497 0.623 Sn
0.754 0.503 0.123 Sn
0.023 0.633 0.456 F
0.100 0.243 0.701 F
0.400 0.757 0.201 F
0.477 0.367 0.956 F
0.523 0.867 0.544 F
0.600 0.257 0.299 F
0.900 0.743 0.799 F
0.977 0.133 0.044 F
```

Top 10 peaks for 2θ = 10–90°, sorted by position:
d/Å  I (rel.)  hkl
3.693  100.0  1 1 0
3.314  68.4  0 1 2
3.275  69.1  1 0 2
2.651  14.7  0 2 0
2.060  47.9  1 2 2
2.033  46.4  2 1 2
1.847  17.3  2 2 0
1.840  30.7  1 1 4
1.632  23.0  0 3 2
1.364  16.9  1 0 6


> Number 2 is which compound?

SnF2